(1)
Structure and computed powder diffraction line list of AcZn2Sb2 (a PBE-relaxed structure; Cu Kα).
Peak positions follow from Bragg's law for the DFT cell and can differ from measured ones.

Top 6 peaks for 2θ = 5–70°, in order of rising 2θ:
two_theta  Rel. int.
18.0  226
27.5  418
28.6  359
34.0  1000
36.5  302
39.4  244

```
5
Lattice="4.9259 0.0000 0.0000 0.0000 2.2856 6.4076 0.0000 -2.2856 6.4076" Properties=species:S:1:pos:R:3 pbc="T T T"
Ac 0.0000 0.0000 0.0000
Zn 0.0000 0.0000 4.0524
Zn 2.4630 0.0000 10.2856
Sb 0.0000 0.0000 9.0159
Sb 2.4630 0.0000 5.6336
```

(2)
Structure and computed powder diffraction line list of AcSc4 (a PBE-relaxed structure; Cu Kα).
Peak positions follow from Bragg's law for the DFT cell and can differ from measured ones.

Top 6 peaks for 2θ = 5–70°, in order of rising 2θ:
two_theta  Rel. int.
16.2  1000
23.0  895
32.7  616
36.7  549
40.3  425
46.9  438

```
5
Lattice="5.4782 0.0000 0.0000 0.0000 5.4782 0.0000 0.0000 0.0000 5.4782" Properties=species:S:1:pos:R:3 pbc="T T T"
Ac 0.0000 0.0000 0.0000
Sc 0.0000 0.0000 2.7391
Sc 0.0000 2.7391 0.0000
Sc 2.7391 0.0000 0.0000
Sc 2.7391 2.7391 2.7391
```

(3)
Structure and computed powder diffraction line list of AcScSe (a PBE-relaxed structure; Cu Kα).
Peak positions follow from Bragg's law for the DFT cell and can differ from measured ones.

Top 6 peaks for 2θ = 5–70°, in order of rising 2θ:
two_theta  Rel. int.
19.5  886
27.5  1000
27.8  755
34.2  722
39.6  610
44.7  369

```
9
Lattice="6.4076 0.0000 0.0000 -3.2038 5.5492 0.0000 0.0000 0.0000 7.9785" Properties=species:S:1:pos:R:3 pbc="T T T"
Ac -1.8700 3.7542 0.0000
Ac 0.8876 2.0526 5.3190
Ac 0.9824 5.2916 2.6595
Sc 1.6287 1.6650 1.2346
Sc 4.1514 0.5780 6.5535
Sc 3.8314 3.3062 3.8940
Se -0.5441 2.3723 2.5077
Se -0.8772 4.8342 5.1672
Se 1.4214 3.8918 7.8267
```

(4)
Structure and computed powder diffraction line list of Ac2ScTiSe6 (a PBE-relaxed structure; Cu Kα).
Peak positions follow from Bragg's law for the DFT cell and can differ from measured ones.

Top 6 peaks for 2θ = 5–70°, in order of rising 2θ:
two_theta  Rel. int.
19.5  672
25.0  398
29.4  487
31.3  304
35.6  1000
38.9  533

```
20
Lattice="6.8863 0.0000 0.0000 0.0000 7.6005 0.0000 -6.8077 0.0000 10.1066" Properties=species:S:1:pos:R:3 pbc="T T T"
Ac -0.2315 0.7423 2.5207
Ac -3.6354 3.0579 7.5740
Ac 3.7139 4.5426 2.5326
Ac 0.3100 6.8582 7.5860
Sc 3.4431 0.0000 0.0000
Sc 0.0393 3.8003 5.0533
Ti -3.4039 0.0000 5.0533
Ti 0.0000 3.8003 0.0000
Se -5.5880 1.4746 9.6126
Se -2.1841 2.3257 4.5593
Se -4.6413 5.2235 9.6141
Se -1.2374 6.1773 4.5608
Se -2.7025 0.1007 7.5315
Se 0.7014 3.6996 2.4782
Se -0.6229 3.9009 7.6284
Se 2.7810 7.4999 2.5751
Se 1.3159 1.4232 5.5458
Se 4.7198 2.3770 0.4925
Se 2.2626 5.2749 5.5474
Se 5.6665 6.1259 0.4940
```

(5)
Structure and computed powder diffraction line list of AcScTl2Se4 (a PBE-relaxed structure; Cu Kα).
Peak positions follow from Bragg's law for the DFT cell and can differ from measured ones.

Top 6 peaks for 2θ = 5–70°, in order of rising 2θ:
two_theta  Rel. int.
25.2  191
28.6  1000
39.4  121
39.5  247
42.1  352
51.8  127

```
8
Lattice="7.4346 0.0000 0.0000 0.0000 4.2847 0.0000 -2.4453 0.0000 7.7218" Properties=species:S:1:pos:R:3 pbc="T T T"
Ac 0.0000 0.0000 0.0000
Sc 3.7173 2.1423 0.0000
Tl -1.2227 2.1423 3.8609
Tl 2.4947 0.0000 3.8609
Se 1.4744 2.1423 1.6277
Se 0.2176 0.0000 6.1834
Se 4.7717 0.0000 1.5384
Se 3.5149 2.1423 6.0941
```

(6)
Structure and computed powder diffraction line list of Ac2YScSe6 (a PBE-relaxed structure; Cu Kα).
Peak positions follow from Bragg's law for the DFT cell and can differ from measured ones.

Top 6 peaks for 2θ = 5–70°, in order of rising 2θ:
two_theta  Rel. int.
24.0  665
24.2  691
29.0  644
34.5  704
34.6  741
37.9  1000

```
20
Lattice="7.0744 0.0000 0.0000 0.0000 7.7923 0.0000 -6.9772 0.0000 10.4035" Properties=species:S:1:pos:R:3 pbc="T T T"
Ac -0.2294 0.7580 2.5845
Ac -3.7180 3.1381 7.7863
Ac 3.8153 4.6541 2.6172
Ac 0.3267 7.0343 7.8190
Y 3.5372 0.0000 0.0000
Y 0.0486 3.8961 5.2018
Sc -3.4886 0.0000 5.2018
Sc 0.0000 3.8961 0.0000
Se -5.7613 1.5066 9.7836
Se -2.2727 2.3895 4.5819
Se -4.7563 5.3188 9.7966
Se -1.2677 6.3696 4.5948
Se -2.6131 0.2389 7.7271
Se 0.8755 3.6572 2.5254
Se -0.7782 4.1350 7.8781
Se 2.7104 7.5534 2.6764
Se 1.3650 1.4227 5.8087
Se 4.8536 2.4734 0.6069
Se 2.3700 5.4028 5.8216
Se 5.8586 6.2856 0.6199
```